Simulated X-ray powder pattern of CdGaAg6 for CuKα, from a structure optimized by DFT (GGA-PBE).

Crystal structure
a = 5.340 Å, b = 5.340 Å, c = 5.342 Å
α = 83.79°, β = 83.63°, γ = 83.38°
Fractional coordinates of all 8 atoms:
1 Cd 0.000 0.000 0.000
2 Ga 0.500 0.500 0.500
3 Ag 0.016 0.744 0.527
4 Ag 0.256 0.470 0.986
5 Ag 0.473 0.988 0.256
6 Ag 0.527 0.012 0.744
7 Ag 0.744 0.530 0.014
8 Ag 0.984 0.256 0.473

The 8 most intense peaks (10 to 90 degrees two-theta), by angle:
Position (°2θ), d (Å), I/Imax
33.95, 2.640, 80
36.46, 2.464, 100
36.55, 2.459, 49
38.10, 2.362, 68
39.63, 2.274, 94
39.75, 2.268, 46
42.54, 2.125, 45
42.70, 2.117, 62

***

Simulated X-ray powder pattern of AcTbPmNd for CuKα, from a structure optimized by DFT (GGA-PBE).

Crystal structure
a = 6.456 Å, b = 6.456 Å, c = 6.456 Å
α = 131.92°, β = 131.79°, γ = 70.46°
Fractional coordinates of all 4 atoms:
1 Ac 0.000 0.000 0.000
2 Tb 0.500 0.500 0.000
3 Pm 0.750 0.250 0.500
4 Nd 0.250 0.750 0.500

The 8 most intense peaks (10 to 90 degrees two-theta), by angle:
Position (°2θ), d (Å), I/Imax
29.36, 3.042, 100
34.03, 2.634, 51
48.89, 1.863, 37
58.02, 1.590, 30
58.14, 1.587, 15
60.91, 1.521, 13
79.24, 1.209, 12
81.69, 1.179, 11

***

Simulated X-ray powder pattern of Nd5Mg6 for CuKα, from a structure optimized by DFT (GGA-PBE).

Crystal structure
a = 9.305 Å, b = 9.305 Å, c = 9.305 Å
α = 145.94°, β = 131.50°, γ = 60.59°
Fractional coordinates of all 11 atoms:
1 Nd 0.000 0.000 0.000
2 Nd 0.163 0.663 0.500
3 Nd 0.307 0.307 0.000
4 Nd 0.693 0.693 0.000
5 Nd 0.837 0.337 0.500
6 Mg 0.147 0.856 0.291
7 Mg 0.287 0.500 0.787
8 Mg 0.436 0.144 0.291
9 Mg 0.564 0.856 0.709
10 Mg 0.713 0.500 0.213
11 Mg 0.853 0.144 0.709

The 8 most intense peaks (10 to 90 degrees two-theta), by angle:
Position (°2θ), d (Å), I/Imax
12.83, 6.902, 19
23.28, 3.821, 85
30.00, 2.978, 29
32.87, 2.725, 30
33.16, 2.702, 100
47.60, 1.910, 23
53.62, 1.709, 32
58.86, 1.569, 19

***

Simulated X-ray powder pattern of HfMnSb3 for CuKα, from a structure optimized by DFT (GGA-PBE).

Crystal structure
a = 5.037 Å, b = 5.037 Å, c = 5.037 Å
α = 90.00°, β = 90.00°, γ = 90.00°
Fractional coordinates of all 5 atoms:
1 Hf 0.000 0.000 0.000
2 Mn 0.500 0.500 0.500
3 Sb 0.000 0.500 0.500
4 Sb 0.500 0.000 0.500
5 Sb 0.500 0.500 0.000

The 8 most intense peaks (10 to 90 degrees two-theta), by angle:
Position (°2θ), d (Å), I/Imax
25.00, 3.561, 13
30.75, 2.908, 100
35.65, 2.518, 77
51.31, 1.781, 54
61.02, 1.519, 43
64.04, 1.454, 18
83.70, 1.155, 18
86.40, 1.126, 24

***

Simulated X-ray powder pattern of CrWBrCl2 for CuKα, from a structure optimized by DFT (GGA-PBE).

Crystal structure
a = 6.094 Å, b = 6.094 Å, c = 4.685 Å
α = 90.00°, β = 90.00°, γ = 90.00°
Fractional coordinates of all 5 atoms:
1 Cr 0.000 0.000 0.000
2 W 0.500 0.500 0.000
3 Br 0.500 0.500 0.500
4 Cl 0.000 0.500 0.500
5 Cl 0.500 0.000 0.500

The 8 most intense peaks (10 to 90 degrees two-theta), by angle:
Position (°2θ), d (Å), I/Imax
14.54, 6.094, 100
20.61, 4.309, 62
28.14, 3.172, 51
29.31, 3.047, 68
32.86, 2.725, 29
41.93, 2.154, 25
49.05, 1.857, 31
58.18, 1.586, 18

***

Simulated X-ray powder pattern of Mn3CrAs4 for CuKα, from a structure optimized by DFT (GGA-PBE).

Crystal structure
a = 5.551 Å, b = 3.440 Å, c = 6.078 Å
α = 90.00°, β = 90.12°, γ = 90.00°
Fractional coordinates of all 8 atoms:
1 Mn 0.000 0.000 0.000
2 Mn 0.006 0.500 0.615
3 Mn 0.500 0.000 0.113
4 Cr 0.507 0.500 0.501
5 As 0.202 0.500 0.225
6 As 0.304 0.000 0.726
7 As 0.701 0.500 0.888
8 As 0.807 0.000 0.386

The 8 most intense peaks (10 to 90 degrees two-theta), by angle:
Position (°2θ), d (Å), I/Imax
33.62, 2.666, 51
34.03, 2.635, 100
42.92, 2.107, 41
44.19, 2.049, 32
44.52, 2.035, 76
51.64, 1.770, 21
52.41, 1.746, 38
53.26, 1.720, 29

***

What did the first record say?
Simulated X-ray powder pattern of CdGaAg6 for CuKα, from a structure optimized by DFT (GGA-PBE).

Crystal structure
a = 5.340 Å, b = 5.340 Å, c = 5.342 Å
α = 83.79°, β = 83.63°, γ = 83.38°
Fractional coordinates of all 8 atoms:
1 Cd 0.000 0.000 0.000
2 Ga 0.500 0.500 0.500
3 Ag 0.016 0.744 0.527
4 Ag 0.256 0.470 0.986
5 Ag 0.473 0.988 0.256
6 Ag 0.527 0.012 0.744
7 Ag 0.744 0.530 0.014
8 Ag 0.984 0.256 0.473

The 8 most intense peaks (10 to 90 degrees two-theta), by angle:
Position (°2θ), d (Å), I/Imax
33.95, 2.640, 80
36.46, 2.464, 100
36.55, 2.459, 49
38.10, 2.362, 68
39.63, 2.274, 94
39.75, 2.268, 46
42.54, 2.125, 45
42.70, 2.117, 62

***

Repeat the second record exactly.
Simulated X-ray powder pattern of AcTbPmNd for CuKα, from a structure optimized by DFT (GGA-PBE).

Crystal structure
a = 6.456 Å, b = 6.456 Å, c = 6.456 Å
α = 131.92°, β = 131.79°, γ = 70.46°
Fractional coordinates of all 4 atoms:
1 Ac 0.000 0.000 0.000
2 Tb 0.500 0.500 0.000
3 Pm 0.750 0.250 0.500
4 Nd 0.250 0.750 0.500

The 8 most intense peaks (10 to 90 degrees two-theta), by angle:
Position (°2θ), d (Å), I/Imax
29.36, 3.042, 100
34.03, 2.634, 51
48.89, 1.863, 37
58.02, 1.590, 30
58.14, 1.587, 15
60.91, 1.521, 13
79.24, 1.209, 12
81.69, 1.179, 11